[1]
# ZrBi2O2
Calculated powder diffractogram, CuKα. Input: a cell relaxed with PBE.

Crystal structure
a = 4.7385 Å, b = 4.7385 Å, c = 4.2726 Å
α = 90.00°, β = 90.00°, γ = 90.00°
Space group P4/mmm (No. 123)
Unique sites:
Zr 0.0000 0.0000 0.0000 [1 per cell]
Bi 0.0000 0.5000 0.5000 [2 per cell]
O 0.5000 0.5000 0.0000 [1 per cell]
O 0.5000 0.5000 0.5000 [1 per cell]

Main lines, by angle (10° ≤ 2θ ≤ 90°):
(0 0 1), 20.79°, I 33; (1 1 0), 26.60°, I 29; (1 1 1), 34.00°, I 100; (2 0 0), 37.98°, I 42; (0 0 2), 42.31°, I 16; (2 0 1), 43.69°, I 21; (2 0 2), 58.14°, I 24; (3 1 1), 66.08°, I 30

---

[2]
# Zr2Bi2O7
Calculated powder diffractogram, CuKα. Input: a cell relaxed with PBE.

Crystal structure
a = 8.1329 Å, b = 5.8029 Å, c = 14.0067 Å
α = 90.00°, β = 98.40°, γ = 90.00°
Space group P2_1 (No. 4)
Unique sites:
Zr 0.0228 0.0000 0.1109 [2 per cell]
Zr 0.0836 0.4783 0.3213 [2 per cell]
Zr 0.4221 0.9795 0.6867 [2 per cell]
Zr 0.4691 0.5011 0.8923 [2 per cell]
Bi 0.1316 0.4247 0.5902 [2 per cell]
Bi 0.2145 0.9825 0.8785 [2 per cell]
Bi 0.2755 0.4947 0.1138 [2 per cell]
Bi 0.3676 0.9936 0.4426 [2 per cell]
O 0.0158 0.7213 0.7788 [2 per cell]
O 0.0476 0.8126 0.9770 [2 per cell]
O 0.0698 0.6854 0.1811 [2 per cell]
O 0.0998 0.2741 0.4452 [2 per cell]
O 0.1232 0.7796 0.4001 [2 per cell]
O 0.1702 0.0983 0.6846 [2 per cell]
O 0.2299 0.4012 0.9204 [2 per cell]
O 0.2768 0.0982 0.1124 [2 per cell]
O 0.3193 0.4264 0.2839 [2 per cell]
O 0.3742 0.7219 0.7816 [2 per cell]
O 0.3858 0.7664 0.5677 [2 per cell]
O 0.4155 0.2472 0.5808 [2 per cell]
O 0.4382 0.8124 0.9777 [2 per cell]
O 0.4851 0.1952 0.8164 [2 per cell]

Main lines, by angle (10° ≤ 2θ ≤ 90°):
(0 1 2), 19.96°, I 25; (0 0 4), 25.72°, I 25; (2 1 1), 28.49°, I 100; (0 2 0), 30.82°, I 35; (2 1 -3), 31.33°, I 38; (2 0 3), 31.54°, I 30; (2 2 3), 44.68°, I 27; (4 2 -1), 55.15°, I 26